1.
Diffraction record for ErFe2Ge2. The powder X-ray diffraction pattern is simulated, not measured: it uses a cell relaxed with PBE and λ = 1.5418 Å (Cu Kα).
Neutral-atom scattering factors, no anomalous dispersion.

Crystal structure
```
5
Lattice="-1.977 1.977 5.104 1.977 -1.977 5.104 1.977 1.977 -5.104" Properties=species:S:1:pos:R:3 pbc="T T T"
Er 0.000 0.000 0.000
Fe 1.977 0.000 2.552
Fe 0.000 1.977 2.552
Ge 0.000 0.000 3.818
Ge 0.000 0.000 6.389
```

Peak list (10 most intense, 5 to 70 degrees two-theta, sorted by position)
| 2theta | d/Å | I_rel |
| --- | --- | --- |
| 24.14 | 3.687 | 12 |
| 32.01 | 2.796 | 32 |
| 34.79 | 2.579 | 100 |
| 35.17 | 2.552 | 6 |
| 36.65 | 2.452 | 92 |
| 45.91 | 1.977 | 57 |
| 50.30 | 1.814 | 34 |
| 58.86 | 1.569 | 44 |
| 64.08 | 1.453 | 18 |
| 66.94 | 1.398 | 18 |



2.
Diffraction record for ErFeGe2. The powder X-ray diffraction pattern is simulated, not measured: it uses a cell relaxed with PBE and λ = 1.5418 Å (Cu Kα).
Neutral-atom scattering factors, no anomalous dispersion.

Crystal structure
```
8
Lattice="2.072 -8.277 0.000 2.072 8.277 0.000 0.000 0.000 4.195" Properties=species:S:1:pos:R:3 pbc="T T T"
Er 2.072 6.467 3.146
Er 2.072 -6.467 1.049
Fe 2.072 2.999 3.146
Fe 2.072 -2.999 1.049
Ge 2.072 4.125 1.049
Ge 2.072 0.739 3.146
Ge 2.072 -0.739 1.049
Ge 2.072 -4.125 3.146
```

Peak list (10 most intense, 5 to 70 degrees two-theta, sorted by position)
| 2theta | d/Å | I_rel |
| --- | --- | --- |
| 30.81 | 2.902 | 21 |
| 34.50 | 2.600 | 100 |
| 34.68 | 2.586 | 35 |
| 39.08 | 2.305 | 30 |
| 43.13 | 2.097 | 28 |
| 43.70 | 2.071 | 28 |
| 54.59 | 1.681 | 13 |
| 56.49 | 1.629 | 17 |
| 60.05 | 1.541 | 19 |
| 63.08 | 1.474 | 19 |



3.
Diffraction record for Er3Fe2Ge3. The powder X-ray diffraction pattern is simulated, not measured: it uses a cell relaxed with PBE and λ = 1.5418 Å (Cu Kα).
Neutral-atom scattering factors, no anomalous dispersion.

Crystal structure
```
16
Lattice="2.068 -5.289 0.000 2.068 5.289 0.000 0.000 0.000 13.694" Properties=species:S:1:pos:R:3 pbc="T T T"
Er 2.068 4.436 8.375
Er 2.068 4.436 12.167
Er 2.068 1.466 10.271
Er 2.068 -1.466 3.424
Er 2.068 -4.436 1.527
Er 2.068 -4.436 5.320
Fe 2.068 3.023 1.152
Fe 2.068 3.023 5.695
Fe 2.068 -3.023 7.999
Fe 2.068 -3.023 12.542
Ge 2.068 1.784 3.424
Ge 2.068 1.307 7.406
Ge 2.068 1.307 13.135
Ge 2.068 -1.307 0.559
Ge 2.068 -1.307 6.288
Ge 2.068 -1.784 10.271
```

Peak list (10 most intense, 5 to 70 degrees two-theta, sorted by position)
| 2theta | d/Å | I_rel |
| --- | --- | --- |
| 33.90 | 2.644 | 20 |
| 34.05 | 2.633 | 64 |
| 35.07 | 2.559 | 100 |
| 36.96 | 2.432 | 25 |
| 38.94 | 2.313 | 43 |
| 39.38 | 2.288 | 20 |
| 39.48 | 2.282 | 20 |
| 42.82 | 2.112 | 21 |
| 43.78 | 2.068 | 40 |
| 60.37 | 1.533 | 22 |



- What is the formula in the third record?
  Er3Fe2Ge3